Record 1
# Cu3IrBr9
Computed powder diffraction line list, Cu Kα, 1.54184 Å. Input: a structure optimized by DFT (GGA-PBE).
Lines closer than 0.1° are merged.

Structure:
abc: 9.8709 9.8709 12.6048
angles: 122.60 122.60 54.22
Positions (direct):
1 Cu 0.0466 0.9534 0.5000
2 Cu 0.2753 0.4965 0.5901
3 Cu 0.4965 0.2753 0.0901
4 Cu 0.5516 0.7040 0.4373
5 Cu 0.7040 0.5516 0.9373
6 Cu 0.9534 0.0466 0.0000
7 Ir 0.0264 0.4874 0.7658
8 Ir 0.4874 0.0264 0.2658
9 Br 0.0095 0.7743 0.8109
10 Br 0.0254 0.7556 0.5378
11 Br 0.0543 0.1884 0.7126
12 Br 0.1442 0.3446 0.5785
13 Br 0.1884 0.0543 0.2126
14 Br 0.2411 0.7985 0.3768
15 Br 0.3397 0.4146 0.9211
16 Br 0.3446 0.1442 0.0785
17 Br 0.4146 0.3397 0.4211
18 Br 0.4358 0.6666 0.7716
19 Br 0.5821 0.7097 0.1184
20 Br 0.5983 0.9360 0.4590
21 Br 0.6666 0.4358 0.2716
22 Br 0.7097 0.5821 0.6184
23 Br 0.7556 0.0254 0.0378
24 Br 0.7743 0.0095 0.3109
25 Br 0.7985 0.2411 0.8768
26 Br 0.9360 0.5983 0.9590

Top 10 peaks for 10 to 90 degrees two-theta, in order of falling intensity:
d 5.269, 2θ 16.83, intensity 100; d 7.298, 2θ 12.13, intensity 52; d 3.778, 2θ 23.55, intensity 32; d 2.078, 2θ 43.54, intensity 25; d 3.268, 2θ 27.29, intensity 25; d 3.050, 2θ 29.28, intensity 22; d 2.761, 2θ 32.43, intensity 20; d 2.965, 2θ 30.15, intensity 19; d 2.118, 2θ 42.70, intensity 19; d 2.170, 2θ 41.62, intensity 18

***

Record 2
# Cu2IrBr5
Computed powder diffraction line list, Cu Kα, 1.54184 Å. Input: a structure optimized by DFT (GGA-PBE).
Lines closer than 0.1° are merged.

Structure:
abc: 5.2157 6.9234 7.2359
angles: 88.65 71.27 69.66
Positions (direct):
1 Cu 0.0000 0.0000 0.0000
2 Cu 0.4393 0.3675 0.4601
3 Ir 0.4234 0.4101 0.9899
4 Br 0.1801 0.6303 0.3127
5 Br 0.3735 0.7192 0.8032
6 Br 0.4938 0.0929 0.1823
7 Br 0.6752 0.1882 0.6664
8 Br 0.9352 0.3685 0.0240

Top 10 peaks for 10 to 90 degrees two-theta, in order of falling intensity:
d 4.614, 2θ 19.24, intensity 100; d 6.819, 2θ 12.98, intensity 70; d 6.460, 2θ 13.71, intensity 59; d 2.899, 2θ 30.84, intensity 39; d 2.470, 2θ 36.37, intensity 39; d 2.604, 2θ 34.44, intensity 27; d 3.038, 2θ 29.40, intensity 25; d 1.991, 2θ 45.57, intensity 20; d 4.399, 2θ 20.18, intensity 15; d 2.237, 2θ 40.32, intensity 15